Record 1
Diffraction record for Pm6Zn5Hg. The powder diffraction line list is calculated, not measured: it uses a structure optimized by DFT (PBE) and Cu Kα (λ = 1.5418 Å).
Lines closer than 0.1° are merged.

Atomic structure:
a b c (Å): 5.2042 7.3773 8.2465
angles (deg): 90.00 108.27 90.00
Sites, in units of the cell vectors:
Pm 0.0000 0.2414 0.0000
Pm 0.0000 0.7586 0.0000
Pm 0.3303 0.2440 0.6607
Pm 0.3303 0.7560 0.6607
Pm 0.6697 0.2440 0.3393
Pm 0.6697 0.7560 0.3393
Zn 0.1667 0.0000 0.3333
Zn 0.1694 0.5000 0.3384
Zn 0.5000 0.0000 0.0000
Zn 0.8306 0.5000 0.6616
Zn 0.8333 0.0000 0.6667
Hg 0.5000 0.5000 0.0000

Main lines, in order of rising 2θ (2θ from 10° to 90°):
| 2theta | d [Å] | I (rel.) |
| --- | --- | --- |
| 24.14 | 3.687 | 8 |
| 34.39 | 2.608 | 100 |
| 34.47 | 2.602 | 20 |
| 49.41 | 1.845 | 14 |
| 49.52 | 1.841 | 7 |
| 61.56 | 1.506 | 22 |
| 61.65 | 1.504 | 14 |
| 61.74 | 1.502 | 7 |
| 72.44 | 1.305 | 7 |
| 82.77 | 1.166 | 9 |

Record 2
Diffraction record for Pm2ZnHg8. The powder diffraction line list is calculated, not measured: it uses a structure optimized by DFT (PBE) and Cu Kα (λ = 1.5418 Å).
Lines closer than 0.1° are merged.

Atomic structure:
a b c (Å): 9.1894 9.1894 6.7470
angles (deg): 109.91 109.91 30.82
Sites, in units of the cell vectors:
Pm 0.2057 0.2057 0.1979
Pm 0.7943 0.7943 0.8021
Zn 0.5000 0.5000 0.5000
Hg 0.0069 0.0069 0.2308
Hg 0.1688 0.1688 0.6768
Hg 0.3702 0.3702 0.6357
Hg 0.3835 0.3835 0.1003
Hg 0.6165 0.6165 0.8997
Hg 0.6298 0.6298 0.3643
Hg 0.8312 0.8312 0.3232
Hg 0.9931 0.9931 0.7692

Main lines, in order of rising 2θ (2θ from 10° to 90°):
| 2theta | d [Å] | I (rel.) |
| --- | --- | --- |
| 28.28 | 3.156 | 17 |
| 28.88 | 3.092 | 21 |
| 31.54 | 2.837 | 31 |
| 32.64 | 2.743 | 93 |
| 35.86 | 2.504 | 100 |
| 36.59 | 2.456 | 71 |
| 36.80 | 2.442 | 63 |
| 51.05 | 1.789 | 17 |
| 64.58 | 1.443 | 17 |
| 65.69 | 1.421 | 26 |

Record 3
Diffraction record for Pm3Zn9Hg2. The powder diffraction line list is calculated, not measured: it uses a structure optimized by DFT (PBE) and Cu Kα (λ = 1.5418 Å).
Lines closer than 0.1° are merged.

Atomic structure:
a b c (Å): 8.4600 8.4600 8.4600
angles (deg): 149.00 115.59 73.20
Sites, in units of the cell vectors:
Pm 0.0000 0.0000 0.0000
Pm 0.2968 0.2968 0.0000
Pm 0.7032 0.7032 0.0000
Zn 0.0286 0.6650 0.3635
Zn 0.1310 0.8550 0.2761
Zn 0.3015 0.6650 0.6365
Zn 0.4211 0.1450 0.2761
Zn 0.5000 0.0000 0.5000
Zn 0.5789 0.8550 0.7239
Zn 0.6985 0.3350 0.3635
Zn 0.8690 0.1450 0.7239
Zn 0.9714 0.3350 0.6365
Hg 0.3055 0.5000 0.8055
Hg 0.6945 0.5000 0.1945

Main lines, in order of rising 2θ (2θ from 10° to 90°):
| 2theta | d [Å] | I (rel.) |
| --- | --- | --- |
| 34.37 | 2.609 | 100 |
| 34.49 | 2.600 | 27 |
| 35.86 | 2.504 | 36 |
| 38.32 | 2.349 | 36 |
| 38.66 | 2.329 | 17 |
| 39.85 | 2.262 | 64 |
| 54.69 | 1.678 | 17 |
| 57.62 | 1.600 | 17 |
| 61.74 | 1.502 | 16 |
| 68.86 | 1.363 | 16 |

Copy entry 1 word for word.
Diffraction record for Pm6Zn5Hg. The powder diffraction line list is calculated, not measured: it uses a structure optimized by DFT (PBE) and Cu Kα (λ = 1.5418 Å).
Lines closer than 0.1° are merged.

Atomic structure:
a b c (Å): 5.2042 7.3773 8.2465
angles (deg): 90.00 108.27 90.00
Sites, in units of the cell vectors:
Pm 0.0000 0.2414 0.0000
Pm 0.0000 0.7586 0.0000
Pm 0.3303 0.2440 0.6607
Pm 0.3303 0.7560 0.6607
Pm 0.6697 0.2440 0.3393
Pm 0.6697 0.7560 0.3393
Zn 0.1667 0.0000 0.3333
Zn 0.1694 0.5000 0.3384
Zn 0.5000 0.0000 0.0000
Zn 0.8306 0.5000 0.6616
Zn 0.8333 0.0000 0.6667
Hg 0.5000 0.5000 0.0000

Main lines, in order of rising 2θ (2θ from 10° to 90°):
| 2theta | d [Å] | I (rel.) |
| --- | --- | --- |
| 24.14 | 3.687 | 8 |
| 34.39 | 2.608 | 100 |
| 34.47 | 2.602 | 20 |
| 49.41 | 1.845 | 14 |
| 49.52 | 1.841 | 7 |
| 61.56 | 1.506 | 22 |
| 61.65 | 1.504 | 14 |
| 61.74 | 1.502 | 7 |
| 72.44 | 1.305 | 7 |
| 82.77 | 1.166 | 9 |